# 1
Computed powder diffractogram of K3N for a wavelength of 1.5418 Å, from DFT lattice parameters and positions (GGA-PBE).
Peak positions follow from Bragg's law for the DFT cell and can differ from measured ones.

Principal peaks in the range 10° ≤ 2θ ≤ 90°, in order of falling intensity:
- 26.11°, rel. 100, hkl 1 1 1
- 13.19°, rel. 80, hkl 1 0 0
- 37.59°, rel. 47, hkl 2 1 1
- 24.71°, rel. 29, hkl 0 0 2
- 33.98°, rel. 23, hkl 1 1 2
- 44.37°, rel. 20, hkl 1 1 3

Cell and atoms:
```
data_K3N
_cell_length_a 7.7492
_cell_length_b 7.7492
_cell_length_c 7.2062
_cell_angle_alpha 90.00
_cell_angle_beta 90.00
_cell_angle_gamma 120.00
_space_group_name_H-M_alt 'P 63/m c m'
_space_group_IT_number 193
_space_group_name_Hall '-P 6c 2'
loop_
_atom_site_label
_atom_site_fract_x
_atom_site_fract_y
_atom_site_fract_z
_atom_site_occupancy
K1 0.0000 0.2644 0.2500 1
N1 0.0000 0.0000 0.0000 1
```

# 2
Computed powder diffractogram of LaYMg6 for a wavelength of 1.5418 Å, from DFT lattice parameters and positions (GGA-PBE).
Peak positions follow from Bragg's law for the DFT cell and can differ from measured ones.

Principal peaks in the range 10° ≤ 2θ ≤ 90°, in order of falling intensity:
- 32.97°, rel. 100, hkl 1 2 2
- 17.64°, rel. 50, hkl 1 0 0
- 35.71°, rel. 40, hkl 2 0 0
- 27.63°, rel. 34, hkl 0 2 2
- 62.43°, rel. 30, hkl 3 2 2
- 25.04°, rel. 22, hkl 1 0 2

Cell and atoms:
```
data_LaYMg6
_cell_length_a 5.025
_cell_length_b 8.421
_cell_length_c 10.064
_cell_angle_alpha 90.00
_cell_angle_beta 90.00
_cell_angle_gamma 90.00
_space_group_name_H-M_alt 'A m m 2'
_space_group_IT_number 38
loop_
_space_group_symop_operation_xyz
'x,y,z'
'-x,-y,z'
'-x,y,z'
'x,-y,z'
'x,y+1/2,z+1/2'
'-x,-y+1/2,z+1/2'
'-x,y+1/2,z+1/2'
'x,-y+1/2,z+1/2'
loop_
_atom_site_label
_atom_site_fract_x
_atom_site_fract_y
_atom_site_fract_z
_atom_site_occupancy
La1 0.000 0.000 0.000 1
Y1 0.000 0.000 0.493 1
Mg1 0.000 0.244 0.745 1
Mg2 0.500 0.000 0.250 1
Mg3 0.500 0.000 0.748 1
Mg4 0.500 0.238 0.504 1
```